SrTl4Cd: calculated powder diffraction line list (Cu Ka), based on DFT lattice parameters and positions (GGA-PBE).
No peak broadening, texture or thermal motion is included.

Structure:
Cell lengths 6.395, 10.826, 5.753 Å; angles 90.00, 110.72, 90.00 degrees
Space group P2/c (No. 13)
Asymmetric unit:
Sr1 0.000 0.159 0.250 (multiplicity 2)
Tl1 0.217 0.409 0.638 (multiplicity 4)
Tl2 0.332 0.118 0.901 (multiplicity 4)
Cd1 0.500 0.345 0.250 (multiplicity 2)

The 10 most intense peaks (10° ≤ 2θ ≤ 90°), by angle:
2θ/deg  intensity
29.77  89
30.79  100
32.36  59
33.10  35
38.09  40
40.22  17
46.30  16
53.04  13
58.26  19
59.12  15

***

RbPu2TlBr8: calculated powder diffraction line list (Cu Ka), based on DFT lattice parameters and positions (GGA-PBE).
No peak broadening, texture or thermal motion is included.

Structure:
Cell lengths 7.116, 7.772, 8.934 Å; angles 89.97, 89.95, 87.91 degrees
Space group P-1 (No. 2)
Asymmetric unit:
Rb1 0.000 0.000 0.000 (multiplicity 1)
Pu1 0.500 0.500 0.252 (multiplicity 2)
Tl1 0.000 0.000 0.500 (multiplicity 1)
Br1 0.272 0.376 0.500 (multiplicity 2)
Br2 0.274 0.380 0.000 (multiplicity 2)
Br3 0.287 0.813 0.257 (multiplicity 2)
Br4 0.287 0.813 0.743 (multiplicity 2)

The 10 most intense peaks (10° ≤ 2θ ≤ 90°), by angle:
2θ/deg  intensity
16.59  100
17.21  63
22.93  39
23.52  79
26.00  42
32.73  36
33.92  86
34.83  33
40.25  62
40.39  37

***

La2HgAu: calculated powder diffraction line list (Cu Ka), based on DFT lattice parameters and positions (GGA-PBE).
No peak broadening, texture or thermal motion is included.

Structure:
Cell lengths 3.864, 5.229, 5.563 Å; angles 90.00, 90.10, 90.00 degrees
Space group Pm (No. 6)
Asymmetric unit:
La1 0.000 0.000 0.000 (multiplicity 1)
La2 0.002 0.500 0.554 (multiplicity 1)
Hg1 0.500 0.500 0.075 (multiplicity 1)
Au1 0.501 0.000 0.471 (multiplicity 1)

The 10 most intense peaks (10° ≤ 2θ ≤ 90°), by angle:
2θ/deg  intensity
32.18  21
33.02  100
34.30  24
36.59  10
47.04  10
47.74  14
57.91  10
59.49  10
60.61  18
69.27  9

***

Pm2Nd6Hg: calculated powder diffraction line list (Cu Ka), based on DFT lattice parameters and positions (GGA-PBE).
No peak broadening, texture or thermal motion is included.

Structure:
Cell lengths 9.6813, 9.6813, 3.7650 Å; angles 90.00, 90.00, 120.00 degrees
Space group P-62m (No. 189)
Asymmetric unit:
Pm1 0.3333 0.6667 0.0000 (multiplicity 2)
Nd1 0.0000 0.2695 0.0000 (multiplicity 3)
Nd2 0.0000 0.6200 0.5000 (multiplicity 3)
Hg1 0.0000 0.0000 0.5000 (multiplicity 1)

The 10 most intense peaks (10° ≤ 2θ ≤ 90°), by angle:
2θ/deg  intensity
28.16  23
30.07  54
31.99  100
37.09  31
48.35  10
53.50  28
59.18  20
60.43  9
66.93  10
87.90  8

***

Na3Li7As4: calculated powder diffraction line list (Cu Ka), based on DFT lattice parameters and positions (GGA-PBE).
No peak broadening, texture or thermal motion is included.

Structure:
Cell lengths 15.065, 4.483, 10.761 Å; angles 90.00, 133.09, 90.00 degrees
Space group C2/m (No. 12)
Asymmetric unit:
Na1 0.000 0.000 0.000 (multiplicity 2)
Na2 0.197 0.500 0.758 (multiplicity 4)
Li1 0.000 0.000 0.500 (multiplicity 2)
Li2 0.045 0.500 0.319 (multiplicity 4)
Li3 0.170 0.500 0.008 (multiplicity 4)
Li4 0.175 0.000 0.393 (multiplicity 4)
As1 0.078 0.000 0.800 (multiplicity 4)
As2 0.198 0.500 0.280 (multiplicity 4)

The 10 most intense peaks (10° ≤ 2θ ≤ 90°), by angle:
2θ/deg  intensity
21.44  51
22.63  100
26.01  52
26.48  47
26.75  87
27.35  96
31.52  47
36.28  53
39.65  94
40.24  52

***

SmHo3Bi4: calculated powder diffraction line list (Cu Ka), based on DFT lattice parameters and positions (GGA-PBE).
No peak broadening, texture or thermal motion is included.

Structure:
Cell lengths 8.974, 12.686, 4.487 Å; angles 90.00, 90.00, 90.00 degrees
Space group Cmmm (No. 65)
Asymmetric unit:
Sm1 0.000 0.000 0.000 (multiplicity 2)
Ho1 0.000 0.500 0.000 (multiplicity 2)
Ho2 0.250 0.250 0.500 (multiplicity 4)
Bi1 0.000 0.252 0.000 (multiplicity 4)
Bi2 0.246 0.500 0.500 (multiplicity 4)

The 10 most intense peaks (10° ≤ 2θ ≤ 90°), by angle:
2θ/deg  intensity
24.30  3
28.13  100
40.20  78
47.53  2
49.78  28
58.16  13
63.96  1
65.83  37
73.06  28
86.84  9

***

CsSb6Pd12: calculated powder diffraction line list (Cu Ka), based on DFT lattice parameters and positions (GGA-PBE).
No peak broadening, texture or thermal motion is included.

Structure:
Cell lengths 12.1645, 12.1645, 9.4508 Å; angles 90.00, 90.00, 120.00 degrees
Space group R-3m (No. 166, hexagonal axes)
Asymmetric unit:
Cs1 0.0000 0.0000 0.0000 (multiplicity 3)
Sb1 0.0509 0.5255 0.2757 (multiplicity 18)
Pd1 0.0000 0.3760 0.5000 (multiplicity 18)
Pd2 0.0993 0.1986 0.3377 (multiplicity 18)

The 10 most intense peaks (10° ≤ 2θ ≤ 90°), by angle:
2θ/deg  intensity
14.56  29
24.26  26
29.34  18
32.04  78
38.41  100
39.13  30
41.92  40
44.70  30
47.23  31
58.13  17

***

K2SrRh3F12: calculated powder diffraction line list (Cu Ka), based on DFT lattice parameters and positions (GGA-PBE).
No peak broadening, texture or thermal motion is included.

Structure:
Cell lengths 7.6556, 7.6556, 17.3937 Å; angles 90.00, 90.00, 120.00 degrees
Space group R-3m (No. 166, hexagonal axes)
Asymmetric unit:
K1 0.0000 0.0000 0.1214 (multiplicity 6)
Sr1 0.0000 0.0000 0.5000 (multiplicity 3)
Rh1 0.0000 0.5000 0.0000 (multiplicity 9)
F1 0.0287 0.5143 0.8846 (multiplicity 18)
F2 0.0674 0.5337 0.3101 (multiplicity 18)

The 10 most intense peaks (10° ≤ 2θ ≤ 90°), by angle:
2θ/deg  intensity
14.30  100
15.28  47
27.39  84
27.93  87
28.82  78
30.84  33
43.84  32
47.51  65
50.18  40
57.72  28

***

Ba3NpCu2Se9: calculated powder diffraction line list (Cu Ka), based on DFT lattice parameters and positions (GGA-PBE).
No peak broadening, texture or thermal motion is included.

Structure:
Cell lengths 7.2263, 7.2263, 8.9500 Å; angles 90.00, 90.00, 120.00 degrees
Space group P-3m1 (No. 164)
Asymmetric unit:
Ba1 0.0000 0.0000 0.0000 (multiplicity 1)
Ba2 0.3333 0.6667 0.6871 (multiplicity 2)
Np1 0.0000 0.0000 0.5000 (multiplicity 1)
Cu1 0.3333 0.6667 0.1561 (multiplicity 2)
Se1 0.0000 0.5000 0.0000 (multiplicity 3)
Se2 0.1730 0.3460 0.3284 (multiplicity 6)

The 10 most intense peaks (10° ≤ 2θ ≤ 90°), by angle:
2θ/deg  intensity
17.29  19
24.45  36
24.64  31
30.26  39
34.99  100
43.26  14
50.12  33
50.52  34
62.93  18
84.79  16

***

Nd8Ir3Pt2: calculated powder diffraction line list (Cu Ka), based on DFT lattice parameters and positions (GGA-PBE).
No peak broadening, texture or thermal motion is included.

Structure:
Cell lengths 8.719, 4.969, 8.742 Å; angles 90.00, 109.44, 90.00 degrees
Space group P2/m (No. 10)
Asymmetric unit:
Nd1 0.121 0.000 0.379 (multiplicity 2)
Nd2 0.131 0.500 0.875 (multiplicity 2)
Nd3 0.375 0.500 0.631 (multiplicity 2)
Nd4 0.378 0.000 0.122 (multiplicity 2)
Ir1 0.246 0.000 0.746 (multiplicity 2)
Ir2 0.500 0.500 0.000 (multiplicity 1)
Pt1 0.246 0.500 0.255 (multiplicity 2)

The 10 most intense peaks (10° ≤ 2θ ≤ 90°), by angle:
2θ/deg  intensity
21.59  13
21.80  13
35.61  25
35.76  100
36.15  24
51.65  18
63.96  14
64.11  14
64.34  9
64.76  18